Record 1
Li3Ac2NdSn4: calculated X-ray powder pattern (λ = 1.5418 Å (Cu Kα)), based on a DFT-relaxed cell (GGA-PBE, Alexandria).
Neutral-atom scattering factors, no anomalous dispersion.

```
data_Li3Ac2NdSn4
_cell_length_a 4.745
_cell_length_b 4.745
_cell_length_c 12.325
_cell_angle_alpha 90.00
_cell_angle_beta 90.00
_cell_angle_gamma 90.00
_space_group_name_H-M_alt 'P -4 m 2'
_space_group_IT_number 115
loop_
_space_group_symop_operation_xyz
'x,y,z'
'y,-x,-z'
'-x,-y,z'
'-y,x,-z'
'-x,y,z'
'-y,-x,-z'
'x,-y,z'
'y,x,-z'
loop_
_atom_site_label
_atom_site_fract_x
_atom_site_fract_y
_atom_site_fract_z
Li1 0.000 0.000 0.000
Li2 0.000 0.500 0.620
Ac1 0.000 0.500 0.277
Nd1 0.500 0.500 0.000
Sn1 0.000 0.000 0.500
Sn2 0.000 0.500 0.839
Sn3 0.500 0.500 0.500
```

Most intense lines, 10 to 90 degrees two-theta, by angle:
h k l	2theta	Rel. int.
1 0 1	20.05	22.2
1 0 2	23.66	32.3
1 0 3	28.74	26.8
1 1 2	30.33	100.0
2 0 0	37.92	39.3
3 1 2	63.84	25.0

Record 2
LiAc2Nd3Te6: calculated X-ray powder pattern (λ = 1.5418 Å (Cu Kα)), based on a DFT-relaxed cell (GGA-PBE, Alexandria).
Neutral-atom scattering factors, no anomalous dispersion.

```
data_LiAc2Nd3Te6
_cell_length_a 7.846
_cell_length_b 13.645
_cell_length_c 7.978
_cell_angle_alpha 90.00
_cell_angle_beta 109.45
_cell_angle_gamma 90.00
_space_group_name_H-M_alt 'C 1 2/m 1'
_space_group_IT_number 12
loop_
_space_group_symop_operation_xyz
'x,y,z'
'-x,-y,-z'
'-x,y,-z'
'x,-y,z'
'x+1/2,y+1/2,z'
'-x+1/2,-y+1/2,-z'
'-x+1/2,y+1/2,-z'
'x+1/2,-y+1/2,z'
loop_
_atom_site_label
_atom_site_fract_x
_atom_site_fract_y
_atom_site_fract_z
Li1 0.000 0.000 0.000
Ac1 0.000 0.336 0.000
Nd1 0.000 0.173 0.500
Nd2 0.000 0.500 0.500
Te1 0.229 0.000 0.743
Te2 0.240 0.158 0.251
```

Most intense lines, 10 to 90 degrees two-theta, by angle:
h k l	2theta	Rel. int.
2 0 -2	27.66	100.0
1 3 -3	39.24	26.3
2 0 2	39.45	12.9
0 6 0	39.63	12.4
3 3 -1	39.76	24.7
2 6 -2	48.99	13.7

Record 3
LiAcNi: calculated X-ray powder pattern (λ = 1.5418 Å (Cu Kα)), based on a DFT-relaxed cell (GGA-PBE, Alexandria).
Neutral-atom scattering factors, no anomalous dispersion.

```
data_LiAcNi
_cell_length_a 12.963
_cell_length_b 4.113
_cell_length_c 5.581
_cell_angle_alpha 90.00
_cell_angle_beta 100.28
_cell_angle_gamma 90.00
_space_group_name_H-M_alt 'C 1 2/m 1'
_space_group_IT_number 12
loop_
_space_group_symop_operation_xyz
'x,y,z'
'-x,-y,-z'
'-x,y,-z'
'x,-y,z'
'x+1/2,y+1/2,z'
'-x+1/2,-y+1/2,-z'
'-x+1/2,y+1/2,-z'
'x+1/2,-y+1/2,z'
loop_
_atom_site_label
_atom_site_fract_x
_atom_site_fract_y
_atom_site_fract_z
Li1 0.104 0.000 0.305
Ac1 0.131 0.500 0.815
Ni1 0.234 0.500 0.364
```

Most intense lines, 10 to 90 degrees two-theta, by angle:
h k l	2theta	Rel. int.
2 0 -1	19.36	59.2
1 1 0	22.71	82.8
2 0 1	23.19	84.4
3 1 0	30.23	64.9
3 1 -1	32.58	100.0
1 1 -2	39.03	71.4

Record 4
LiAc2Ni3: calculated X-ray powder pattern (λ = 1.5418 Å (Cu Kα)), based on a DFT-relaxed cell (GGA-PBE, Alexandria).
Neutral-atom scattering factors, no anomalous dispersion.

```
data_LiAc2Ni3
_cell_length_a 4.201
_cell_length_b 4.220
_cell_length_c 14.839
_cell_angle_alpha 90.00
_cell_angle_beta 90.00
_cell_angle_gamma 90.00
_space_group_name_H-M_alt 'I m m 2'
_space_group_IT_number 44
loop_
_space_group_symop_operation_xyz
'x,y,z'
'-x,-y,z'
'-x,y,z'
'x,-y,z'
'x+1/2,y+1/2,z+1/2'
'-x+1/2,-y+1/2,z+1/2'
'-x+1/2,y+1/2,z+1/2'
'x+1/2,-y+1/2,z+1/2'
loop_
_atom_site_label
_atom_site_fract_x
_atom_site_fract_y
_atom_site_fract_z
Li1 0.000 0.000 0.000
Ac1 0.000 0.000 0.408
Ac2 0.000 0.500 0.673
Ni1 0.000 0.000 0.829
Ni2 0.000 0.500 0.094
Ni3 0.000 0.500 0.253
```

Most intense lines, 10 to 90 degrees two-theta, by angle:
h k l	2theta	Rel. int.
1 0 1	21.95	31.7
0 0 4	23.99	20.9
1 0 3	27.83	47.2
1 1 2	32.40	100.0
0 1 5	37.05	43.6
1 0 7	48.07	22.5

Record 5
LiAc3Ni3: calculated X-ray powder pattern (λ = 1.5418 Å (Cu Kα)), based on a DFT-relaxed cell (GGA-PBE, Alexandria).
Neutral-atom scattering factors, no anomalous dispersion.

```
data_LiAc3Ni3
_cell_length_a 4.154
_cell_length_b 10.984
_cell_length_c 14.924
_cell_angle_alpha 90.00
_cell_angle_beta 90.00
_cell_angle_gamma 90.00
_space_group_name_H-M_alt 'C m c m'
_space_group_IT_number 63
_space_group_name_Hall '-C 2c 2'
loop_
_atom_site_label
_atom_site_fract_x
_atom_site_fract_y
_atom_site_fract_z
Li1 0.000 0.000 0.000
Ac1 0.000 0.037 0.250
Ac2 0.000 0.311 0.102
Ni1 0.000 0.255 0.750
Ni2 0.000 0.391 0.605
```

Most intense lines, 10 to 90 degrees two-theta, by angle:
h k l	2theta	Rel. int.
1 1 2	25.85	66.6
1 1 3	29.16	65.7
1 3 0	32.60	100.0
0 4 1	33.17	49.3
1 1 4	33.29	89.6
1 3 3	37.40	90.4

Record 6
LiAc2Ni9: calculated X-ray powder pattern (λ = 1.5418 Å (Cu Kα)), based on a DFT-relaxed cell (GGA-PBE, Alexandria).
Neutral-atom scattering factors, no anomalous dispersion.

```
data_LiAc2Ni9
_cell_length_a 5.0688
_cell_length_b 5.0688
_cell_length_c 24.9066
_cell_angle_alpha 90.00
_cell_angle_beta 90.00
_cell_angle_gamma 120.00
_space_group_name_H-M_alt 'R -3 m'
_space_group_IT_number 166
_space_group_name_Hall '-R 3 2"'
loop_
_atom_site_label
_atom_site_fract_x
_atom_site_fract_y
_atom_site_fract_z
Li1 0.0000 0.0000 0.0000
Ac1 0.0000 0.0000 0.1315
Ni1 0.0000 0.0000 0.3325
Ni2 0.0000 0.0000 0.5000
Ni3 0.0013 0.5007 0.0772
```

Most intense lines, 10 to 90 degrees two-theta, by angle:
h k l	2theta	Rel. int.
0 0 3	10.66	52.3
1 0 4	24.82	67.9
1 0 7	32.39	38.1
0 1 8	35.38	100.0
1 1 6	41.76	53.3
2 0 5	45.10	80.2

Record 7
Li2Ac2Ni: calculated X-ray powder pattern (λ = 1.5418 Å (Cu Kα)), based on a DFT-relaxed cell (GGA-PBE, Alexandria).
Neutral-atom scattering factors, no anomalous dispersion.

```
data_Li2Ac2Ni
_cell_length_a 4.632
_cell_length_b 5.297
_cell_length_c 10.556
_cell_angle_alpha 90.00
_cell_angle_beta 90.00
_cell_angle_gamma 90.00
_space_group_name_H-M_alt 'I m m m'
_space_group_IT_number 71
_space_group_name_Hall '-I 2 2'
loop_
_atom_site_label
_atom_site_fract_x
_atom_site_fract_y
_atom_site_fract_z
Li1 0.238 0.000 0.000
Ac1 0.000 0.000 0.323
Ni1 0.000 0.500 0.000
```

Most intense lines, 10 to 90 degrees two-theta, by angle:
h k l	2theta	Rel. int.
0 1 1	18.74	91.9
1 1 0	25.55	99.0
0 1 3	30.50	64.1
1 1 2	30.73	99.2
1 0 3	31.94	100.0
1 2 3	47.24	78.6

Record 8
Li5Ac2Ni4: calculated X-ray powder pattern (λ = 1.5418 Å (Cu Kα)), based on a DFT-relaxed cell (GGA-PBE, Alexandria).
Neutral-atom scattering factors, no anomalous dispersion.

```
data_Li5Ac2Ni4
_cell_length_a 13.019
_cell_length_b 5.242
_cell_length_c 7.678
_cell_angle_alpha 90.00
_cell_angle_beta 125.82
_cell_angle_gamma 90.00
_space_group_name_H-M_alt 'C 1 2/m 1'
_space_group_IT_number 12
loop_
_space_group_symop_operation_xyz
'x,y,z'
'-x,-y,-z'
'-x,y,-z'
'x,-y,z'
'x+1/2,y+1/2,z'
'-x+1/2,-y+1/2,-z'
'-x+1/2,y+1/2,-z'
'x+1/2,-y+1/2,z'
loop_
_atom_site_label
_atom_site_fract_x
_atom_site_fract_y
_atom_site_fract_z
Li1 0.000 0.000 0.000
Li2 0.047 0.256 0.361
Ac1 0.225 0.500 0.166
Ni1 0.137 0.500 0.706
Ni2 0.233 0.000 0.415
```

Most intense lines, 10 to 90 degrees two-theta, by angle:
h k l	2theta	Rel. int.
2 0 0	16.80	100.0
3 1 -1	26.66	55.5
1 1 -2	30.05	37.8
2 0 -3	36.11	28.9
2 2 0	38.34	29.6
1 1 2	38.64	38.1